Starting from a structure optimized by DFT (GGA-PBE), the XRD peak list of SrCa2Ag was computed for λ = 1.5418 Å (Cu Kα).

Main lines, sorted by position (10° ≤ 2θ ≤ 80°):
2θ = 13.64°, I = 22, (0 0 1); 2θ = 17.92°, I = 39, (0 2 0); 2θ = 27.46°, I = 48, (1 2 0); 2θ = 28.94°, I = 23, (0 1 2); 2θ = 29.85°, I = 100, (1 1 1); 2θ = 30.38°, I = 18, (0 3 1); 2θ = 32.99°, I = 23, (0 2 2); 2θ = 34.24°, I = 32, (1 3 0); 2θ = 39.55°, I = 38, (2 0 -1); 2θ = 54.76°, I = 19, (1 5 1)

Crystal structure
Cell: 4.561 9.900 6.877 Å, 90.00 109.22 90.00°
Space group P2_1/m (No. 11)
Inequivalent atoms, fractional coordinates:
Sr (0.063, 0.250, 0.127) [2 per cell]
Ca (0.352, 0.060, 0.704) [4 per cell]
Ag (0.240, 0.750, 0.481) [2 per cell]